# SrLi3Al
Theoretical X-ray diffraction stick pattern, Cu Ka. Input: a crystal structure in Alexandria, relaxed with PBE.
No peak broadening, texture or thermal motion is included.

Peak list (10 most intense, 2θ from 5° to 70°, in order of falling intensity)
2θ/deg, d (Å), I (rel.), h k l
15.5, 5.725, 100, 0 1 0
25.9, 3.446, 91, 0 1 -2
32.1, 2.786, 84, 1 2 -1
19.9, 4.468, 61, 1 1 -1
32.7, 2.735, 55, -2 1 1
28.7, 3.114, 52, 2 0 -1
26.0, 3.423, 39, 1 0 -2
31.6, 2.830, 38, 0 2 -2
15.9, 5.561, 35, 1 0 -1
14.3, 6.178, 34, 0 0 1

Structure:
a b c (Å): 6.2279 6.4143 7.5647
angles (deg): 114.25 113.79 90.28
Fractional coordinates of all 10 atoms:
Sr: 0.0000 0.0000 0.0000
Sr: 0.3228 0.1272 0.6431
Li: 0.0286 0.5924 0.5507
Li: 0.3033 0.5654 0.1476
Li: 0.4772 0.7394 0.9540
Li: 0.5282 0.5930 0.5520
Li: 0.6370 0.2194 0.2743
Li: 0.8408 0.5629 0.1455
Al: 0.7224 0.9128 0.4408
Al: 0.8764 0.3758 0.7499